For AcPr3Ag2, a crystal structure in Alexandria, relaxed with GGA-PBE gives the theoretical PXRD pattern in this record (λ = 1.5418 Å (Cu Kα)).
Neutral-atom scattering factors, no anomalous dispersion.

Structural model:
```
data_AcPr3Ag2
_cell_length_a 3.798
_cell_length_b 3.798
_cell_length_c 13.053
_cell_angle_alpha 90.00
_cell_angle_beta 90.00
_cell_angle_gamma 90.00
_space_group_name_H-M_alt 'P 1'
_space_group_IT_number 1
loop_
_space_group_symop_operation_xyz
'x,y,z'
loop_
_atom_site_label
_atom_site_type_symbol
_atom_site_fract_x
_atom_site_fract_y
_atom_site_fract_z
_atom_site_occupancy
Ac1 Ac 0.000 0.000 0.000 1
Pr1 Pr 0.500 0.500 0.211 1
Pr2 Pr 0.500 0.500 0.500 1
Pr3 Pr 0.500 0.500 0.789 1
Ag1 Ag 0.000 0.000 0.355 1
Ag2 Ag 0.000 0.000 0.645 1
```

Main lines, low angle first (15 to 90 degrees two-theta):
27.16°, 3.283 Å, intensity 186
31.26°, 2.861 Å, intensity 1000
33.36°, 2.686 Å, intensity 557
36.30°, 2.475 Å, intensity 91
47.90°, 1.899 Å, intensity 201
58.32°, 1.582 Å, intensity 336

For AcPrAg2S4, a crystal structure in Alexandria, relaxed with GGA-PBE gives the theoretical PXRD pattern in this record (λ = 1.5418 Å (Cu Kα)).
Neutral-atom scattering factors, no anomalous dispersion.

Structural model:
```
data_AcPrAg2S4
_cell_length_a 6.921
_cell_length_b 7.068
_cell_length_c 8.176
_cell_angle_alpha 90.00
_cell_angle_beta 90.00
_cell_angle_gamma 90.00
_space_group_name_H-M_alt 'P 1'
_space_group_IT_number 1
loop_
_space_group_symop_operation_xyz
'x,y,z'
loop_
_atom_site_label
_atom_site_type_symbol
_atom_site_fract_x
_atom_site_fract_y
_atom_site_fract_z
_atom_site_occupancy
Ac1 Ac 0.000 0.000 0.000 1
Ac2 Ac 0.500 0.500 0.500 1
Pr1 Pr 0.000 0.000 0.500 1
Pr2 Pr 0.500 0.500 0.000 1
Ag1 Ag 0.000 0.500 0.176 1
Ag2 Ag 0.000 0.500 0.824 1
Ag3 Ag 0.500 0.000 0.324 1
Ag4 Ag 0.500 0.000 0.676 1
S1 S 0.235 0.236 0.315 1
S2 S 0.235 0.764 0.685 1
S3 S 0.265 0.264 0.815 1
S4 S 0.265 0.736 0.185 1
S5 S 0.735 0.264 0.185 1
S6 S 0.735 0.736 0.815 1
S7 S 0.765 0.236 0.685 1
S8 S 0.765 0.764 0.315 1
```

Main lines, low angle first (15 to 90 degrees two-theta):
25.20°, 3.534 Å, intensity 266
25.74°, 3.461 Å, intensity 253
28.33°, 3.151 Å, intensity 1000
36.33°, 2.473 Å, intensity 517
46.37°, 1.958 Å, intensity 261
47.02°, 1.933 Å, intensity 251

For AcPrSmAg, a crystal structure in Alexandria, relaxed with GGA-PBE gives the theoretical PXRD pattern in this record (λ = 1.5418 Å (Cu Kα)).
Neutral-atom scattering factors, no anomalous dispersion.

Structural model:
```
data_AcPrSmAg
_cell_length_a 3.813
_cell_length_b 3.813
_cell_length_c 8.958
_cell_angle_alpha 90.00
_cell_angle_beta 90.00
_cell_angle_gamma 90.00
_space_group_name_H-M_alt 'P 1'
_space_group_IT_number 1
loop_
_space_group_symop_operation_xyz
'x,y,z'
loop_
_atom_site_label
_atom_site_type_symbol
_atom_site_fract_x
_atom_site_fract_y
_atom_site_fract_z
_atom_site_occupancy
Ac1 Ac 0.000 0.000 0.000 1
Pr1 Pr 0.500 0.500 0.700 1
Sm1 Sm 0.500 0.500 0.293 1
Ag1 Ag 0.000 0.000 0.487 1
```

Main lines, low angle first (15 to 90 degrees two-theta):
25.39°, 3.508 Å, intensity 179
30.80°, 2.903 Å, intensity 1000
33.23°, 2.696 Å, intensity 484
47.71°, 1.906 Å, intensity 176
53.17°, 1.723 Å, intensity 127
57.87°, 1.593 Å, intensity 335

For AcPrAgTe, a crystal structure in Alexandria, relaxed with GGA-PBE gives the theoretical PXRD pattern in this record (λ = 1.5418 Å (Cu Kα)).
Neutral-atom scattering factors, no anomalous dispersion.

Structural model:
```
data_AcPrAgTe
_cell_length_a 7.884
_cell_length_b 7.884
_cell_length_c 7.884
_cell_angle_alpha 90.00
_cell_angle_beta 90.00
_cell_angle_gamma 90.00
_space_group_name_H-M_alt 'P 1'
_space_group_IT_number 1
loop_
_space_group_symop_operation_xyz
'x,y,z'
loop_
_atom_site_label
_atom_site_type_symbol
_atom_site_fract_x
_atom_site_fract_y
_atom_site_fract_z
_atom_site_occupancy
Ac1 Ac 0.000 0.000 0.000 1
Ac2 Ac 0.000 0.500 0.500 1
Ac3 Ac 0.500 0.000 0.500 1
Ac4 Ac 0.500 0.500 0.000 1
Pr1 Pr 0.000 0.000 0.500 1
Pr2 Pr 0.000 0.500 0.000 1
Pr3 Pr 0.500 0.000 0.000 1
Pr4 Pr 0.500 0.500 0.500 1
Ag1 Ag 0.250 0.250 0.750 1
Ag2 Ag 0.250 0.750 0.250 1
Ag3 Ag 0.750 0.250 0.250 1
Ag4 Ag 0.750 0.750 0.750 1
Te1 Te 0.250 0.250 0.250 1
Te2 Te 0.250 0.750 0.750 1
Te3 Te 0.750 0.250 0.750 1
Te4 Te 0.750 0.750 0.250 1
```

Main lines, low angle first (15 to 90 degrees two-theta):
22.55°, 3.942 Å, intensity 51
32.11°, 2.788 Å, intensity 1000
46.05°, 1.971 Å, intensity 184
57.24°, 1.609 Å, intensity 384
67.16°, 1.394 Å, intensity 118
76.40°, 1.247 Å, intensity 164

For Ac5AgPt2, a crystal structure in Alexandria, relaxed with GGA-PBE gives the theoretical PXRD pattern in this record (λ = 1.5418 Å (Cu Kα)).
Neutral-atom scattering factors, no anomalous dispersion.

Structural model:
```
data_Ac5AgPt2
_cell_length_a 9.512
_cell_length_b 9.512
_cell_length_c 9.512
_cell_angle_alpha 127.35
_cell_angle_beta 127.12
_cell_angle_gamma 77.87
_space_group_name_H-M_alt 'P 1'
_space_group_IT_number 1
loop_
_space_group_symop_operation_xyz
'x,y,z'
loop_
_atom_site_label
_atom_site_type_symbol
_atom_site_fract_x
_atom_site_fract_y
_atom_site_fract_z
_atom_site_occupancy
Ac1 Ac 0.000 0.000 0.000 1
Ac2 Ac 0.025 0.524 0.821 1
Ac3 Ac 0.202 0.024 0.499 1
Ac4 Ac 0.298 0.797 0.821 1
Ac5 Ac 0.475 0.297 0.499 1
Ac6 Ac 0.500 0.500 0.000 1
Ac7 Ac 0.525 0.703 0.501 1
Ac8 Ac 0.702 0.203 0.179 1
Ac9 Ac 0.798 0.976 0.501 1
Ac10 Ac 0.975 0.476 0.179 1
Ag1 Ag 0.250 0.250 0.000 1
Ag2 Ag 0.750 0.750 0.000 1
Pt1 Pt 0.137 0.363 0.499 1
Pt2 Pt 0.363 0.863 0.226 1
Pt3 Pt 0.637 0.137 0.774 1
Pt4 Pt 0.863 0.637 0.501 1
```

Main lines, low angle first (15 to 90 degrees two-theta):
29.77°, 3.001 Å, intensity 1000
32.15°, 2.784 Å, intensity 232
33.46°, 2.678 Å, intensity 260
33.58°, 2.669 Å, intensity 256
38.63°, 2.330 Å, intensity 219
60.90°, 1.521 Å, intensity 162

For Ac8AgPt4, a crystal structure in Alexandria, relaxed with GGA-PBE gives the theoretical PXRD pattern in this record (λ = 1.5418 Å (Cu Kα)).
Neutral-atom scattering factors, no anomalous dispersion.

Structural model:
```
data_Ac8AgPt4
_cell_length_a 10.037
_cell_length_b 10.037
_cell_length_c 13.969
_cell_angle_alpha 129.96
_cell_angle_beta 129.96
_cell_angle_gamma 25.40
_space_group_name_H-M_alt 'P 1'
_space_group_IT_number 1
loop_
_space_group_symop_operation_xyz
'x,y,z'
loop_
_atom_site_label
_atom_site_type_symbol
_atom_site_fract_x
_atom_site_fract_y
_atom_site_fract_z
_atom_site_occupancy
Ac1 Ac 0.000 0.000 0.000 1
Ac2 Ac 0.006 0.006 0.565 1
Ac3 Ac 0.082 0.082 0.356 1
Ac4 Ac 0.282 0.282 0.858 1
Ac5 Ac 0.359 0.359 0.648 1
Ac6 Ac 0.365 0.365 0.214 1
Ac7 Ac 0.644 0.644 0.920 1
Ac8 Ac 0.721 0.721 0.293 1
Ag1 Ag 0.682 0.682 0.607 1
Pt1 Pt 0.004 0.004 0.782 1
Pt2 Pt 0.361 0.361 0.432 1
Pt3 Pt 0.507 0.507 0.159 1
Pt4 Pt 0.858 0.858 0.055 1
```

Main lines, low angle first (15 to 90 degrees two-theta):
27.16°, 3.283 Å, intensity 1000
27.89°, 3.199 Å, intensity 641
31.93°, 2.803 Å, intensity 679
33.68°, 2.661 Å, intensity 488
38.59°, 2.333 Å, intensity 472
40.89°, 2.207 Å, intensity 614

For Ac5AgPt4, a crystal structure in Alexandria, relaxed with GGA-PBE gives the theoretical PXRD pattern in this record (λ = 1.5418 Å (Cu Kα)).
Neutral-atom scattering factors, no anomalous dispersion.

Structural model:
```
data_Ac5AgPt4
_cell_length_a 11.801
_cell_length_b 11.801
_cell_length_c 11.801
_cell_angle_alpha 158.48
_cell_angle_beta 149.20
_cell_angle_gamma 37.89
_space_group_name_H-M_alt 'P 1'
_space_group_IT_number 1
loop_
_space_group_symop_operation_xyz
'x,y,z'
loop_
_atom_site_label
_atom_site_type_symbol
_atom_site_fract_x
_atom_site_fract_y
_atom_site_fract_z
_atom_site_occupancy
Ac1 Ac 0.000 0.000 0.000 1
Ac2 Ac 0.198 0.198 0.000 1
Ac3 Ac 0.390 0.390 0.000 1
Ac4 Ac 0.610 0.610 0.000 1
Ac5 Ac 0.802 0.802 0.000 1
Ag1 Ag 0.500 0.000 0.500 1
Pt1 Pt 0.098 0.598 0.500 1
Pt2 Pt 0.297 0.797 0.500 1
Pt3 Pt 0.703 0.203 0.500 1
Pt4 Pt 0.902 0.402 0.500 1
```

Main lines, low angle first (15 to 90 degrees two-theta):
28.47°, 3.135 Å, intensity 1000
40.70°, 2.217 Å, intensity 515
40.96°, 2.203 Å, intensity 137
50.17°, 1.818 Å, intensity 131
50.65°, 1.802 Å, intensity 142
66.71°, 1.402 Å, intensity 235

For Ac2Ag3Pt2, a crystal structure in Alexandria, relaxed with GGA-PBE gives the theoretical PXRD pattern in this record (λ = 1.5418 Å (Cu Kα)).
Neutral-atom scattering factors, no anomalous dispersion.

Structural model:
```
data_Ac2Ag3Pt2
_cell_length_a 10.618
_cell_length_b 4.370
_cell_length_c 7.317
_cell_angle_alpha 90.00
_cell_angle_beta 98.16
_cell_angle_gamma 90.00
_space_group_name_H-M_alt 'P 1'
_space_group_IT_number 1
loop_
_space_group_symop_operation_xyz
'x,y,z'
loop_
_atom_site_label
_atom_site_type_symbol
_atom_site_fract_x
_atom_site_fract_y
_atom_site_fract_z
_atom_site_occupancy
Ac1 Ac 0.119 0.000 0.332 1
Ac2 Ac 0.381 0.500 0.668 1
Ac3 Ac 0.619 0.500 0.332 1
Ac4 Ac 0.881 0.000 0.668 1
Ag1 Ag 0.000 0.500 0.000 1
Ag2 Ag 0.193 0.000 0.887 1
Ag3 Ag 0.307 0.500 0.113 1
Ag4 Ag 0.500 0.000 0.000 1
Ag5 Ag 0.693 0.500 0.887 1
Ag6 Ag 0.807 0.000 0.113 1
Pt1 Pt 0.094 0.500 0.654 1
Pt2 Pt 0.406 0.000 0.346 1
Pt3 Pt 0.594 0.000 0.654 1
Pt4 Pt 0.906 0.500 0.346 1
```

Main lines, low angle first (15 to 90 degrees two-theta):
32.30°, 2.771 Å, intensity 1000
32.76°, 2.733 Å, intensity 369
33.74°, 2.656 Å, intensity 340
34.15°, 2.626 Å, intensity 535
36.40°, 2.469 Å, intensity 785
41.32°, 2.185 Å, intensity 513

For Ac2SiAgPt6, a crystal structure in Alexandria, relaxed with GGA-PBE gives the theoretical PXRD pattern in this record (λ = 1.5418 Å (Cu Kα)).
Neutral-atom scattering factors, no anomalous dispersion.

Structural model:
```
data_Ac2SiAgPt6
_cell_length_a 6.600
_cell_length_b 6.600
_cell_length_c 8.573
_cell_angle_alpha 126.32
_cell_angle_beta 126.32
_cell_angle_gamma 49.86
_space_group_name_H-M_alt 'P 1'
_space_group_IT_number 1
loop_
_space_group_symop_operation_xyz
'x,y,z'
loop_
_atom_site_label
_atom_site_type_symbol
_atom_site_fract_x
_atom_site_fract_y
_atom_site_fract_z
_atom_site_occupancy
Ac1 Ac 0.234 0.234 0.198 1
Ac2 Ac 0.766 0.766 0.802 1
Si1 Si 0.000 0.000 0.500 1
Ag1 Ag 0.500 0.500 0.000 1
Pt1 Pt 0.248 0.248 0.600 1
Pt2 Pt 0.251 0.740 0.720 1
Pt3 Pt 0.260 0.749 0.280 1
Pt4 Pt 0.740 0.251 0.720 1
Pt5 Pt 0.749 0.260 0.280 1
Pt6 Pt 0.752 0.752 0.400 1
```

Main lines, low angle first (15 to 90 degrees two-theta):
27.48°, 3.245 Å, intensity 685
28.73°, 3.108 Å, intensity 340
29.91°, 2.987 Å, intensity 384
37.95°, 2.371 Å, intensity 1000
38.61°, 2.332 Å, intensity 853
39.77°, 2.266 Å, intensity 609

For Ac2AgSn3Pt4, a crystal structure in Alexandria, relaxed with GGA-PBE gives the theoretical PXRD pattern in this record (λ = 1.5418 Å (Cu Kα)).
Neutral-atom scattering factors, no anomalous dispersion.

Structural model:
```
data_Ac2AgSn3Pt4
_cell_length_a 4.655
_cell_length_b 4.655
_cell_length_c 10.888
_cell_angle_alpha 90.00
_cell_angle_beta 90.00
_cell_angle_gamma 90.00
_space_group_name_H-M_alt 'P 1'
_space_group_IT_number 1
loop_
_space_group_symop_operation_xyz
'x,y,z'
loop_
_atom_site_label
_atom_site_type_symbol
_atom_site_fract_x
_atom_site_fract_y
_atom_site_fract_z
_atom_site_occupancy
Ac1 Ac 0.000 0.500 0.247 1
Ac2 Ac 0.500 0.000 0.753 1
Ag1 Ag 0.500 0.500 0.000 1
Sn1 Sn 0.000 0.000 0.000 1
Sn2 Sn 0.000 0.500 0.624 1
Sn3 Sn 0.500 0.000 0.376 1
Pt1 Pt 0.000 0.000 0.500 1
Pt2 Pt 0.000 0.500 0.864 1
Pt3 Pt 0.500 0.000 0.136 1
Pt4 Pt 0.500 0.500 0.500 1
```

Main lines, low angle first (15 to 90 degrees two-theta):
31.25°, 2.862 Å, intensity 582
31.77°, 2.817 Å, intensity 1000
38.68°, 2.328 Å, intensity 687
46.01°, 1.973 Å, intensity 270
50.54°, 1.806 Å, intensity 312
65.71°, 1.421 Å, intensity 255

For Ac2Ag3Sn4Pt, a crystal structure in Alexandria, relaxed with GGA-PBE gives the theoretical PXRD pattern in this record (λ = 1.5418 Å (Cu Kα)).
Neutral-atom scattering factors, no anomalous dispersion.

Structural model:
```
data_Ac2Ag3Sn4Pt
_cell_length_a 4.756
_cell_length_b 4.756
_cell_length_c 11.322
_cell_angle_alpha 90.00
_cell_angle_beta 90.00
_cell_angle_gamma 90.00
_space_group_name_H-M_alt 'P 1'
_space_group_IT_number 1
loop_
_space_group_symop_operation_xyz
'x,y,z'
loop_
_atom_site_label
_atom_site_type_symbol
_atom_site_fract_x
_atom_site_fract_y
_atom_site_fract_z
_atom_site_occupancy
Ac1 Ac 0.000 0.500 0.234 1
Ac2 Ac 0.500 0.000 0.766 1
Ag1 Ag 0.000 0.000 0.000 1
Ag2 Ag 0.000 0.500 0.639 1
Ag3 Ag 0.500 0.000 0.361 1
Sn1 Sn 0.000 0.000 0.500 1
Sn2 Sn 0.000 0.500 0.878 1
Sn3 Sn 0.500 0.000 0.122 1
Sn4 Sn 0.500 0.500 0.500 1
Pt1 Pt 0.500 0.500 0.000 1
```

Main lines, low angle first (15 to 90 degrees two-theta):
30.23°, 2.956 Å, intensity 538
30.93°, 2.891 Å, intensity 1000
37.83°, 2.378 Å, intensity 612
49.17°, 1.853 Å, intensity 285
54.58°, 1.681 Å, intensity 213
64.06°, 1.454 Å, intensity 256

For Ac2Zn4AgPt3, a crystal structure in Alexandria, relaxed with GGA-PBE gives the theoretical PXRD pattern in this record (λ = 1.5418 Å (Cu Kα)).
Neutral-atom scattering factors, no anomalous dispersion.

Structural model:
```
data_Ac2Zn4AgPt3
_cell_length_a 4.427
_cell_length_b 4.427
_cell_length_c 10.697
_cell_angle_alpha 90.00
_cell_angle_beta 90.00
_cell_angle_gamma 90.00
_space_group_name_H-M_alt 'P 1'
_space_group_IT_number 1
loop_
_space_group_symop_operation_xyz
'x,y,z'
loop_
_atom_site_label
_atom_site_type_symbol
_atom_site_fract_x
_atom_site_fract_y
_atom_site_fract_z
_atom_site_occupancy
Ac1 Ac 0.000 0.500 0.248 1
Ac2 Ac 0.500 0.000 0.752 1
Zn1 Zn 0.000 0.000 0.000 1
Zn2 Zn 0.000 0.500 0.629 1
Zn3 Zn 0.500 0.000 0.371 1
Zn4 Zn 0.500 0.500 0.000 1
Ag1 Ag 0.000 0.000 0.500 1
Pt1 Pt 0.000 0.500 0.868 1
Pt2 Pt 0.500 0.000 0.132 1
Pt3 Pt 0.500 0.500 0.500 1
```

Main lines, low angle first (15 to 90 degrees two-theta):
32.24°, 2.777 Å, intensity 738
33.16°, 2.701 Å, intensity 1000
40.77°, 2.213 Å, intensity 661
47.18°, 1.926 Å, intensity 340
52.90°, 1.731 Å, intensity 373
64.09°, 1.453 Å, intensity 274